Computed X-ray diffraction stick pattern
Compound: Co4CuNi6
Radiation: Cu Kα (λ = 1.5418 Å)
Structure: a DFT-relaxed cell (GGA-PBE, Alexandria)
Lines closer than 0.1° are merged.

Cell and atoms:
abc: 7.7469 7.7469 2.4540
angles: 90.00 90.00 120.00
Space group P-6m2 (No. 187)
Asymmetric unit:
Co 0.0000 0.0000 0.0000
Co 0.5121 0.0242 0.5000
Cu 0.3333 0.6667 0.0000
Ni 0.1580 0.3160 0.5000
Ni 0.3564 0.1782 0.0000

Principal peaks in the range 2θ from 5° to 70°, by angle:
two_theta  Rel. int.  (hkl)
13.20  7.2  1 0 0
22.96  4.5  1 1 0
26.57  4.0  2 0 0
35.40  18.5  2 1 0
43.66  20.0  1 1 1
45.81  84.0  2 0 1
46.91  100.0  2 2 0
51.85  17.4  2 1 1
55.60  10.8  3 0 1
67.66  21.3  4 0 1

---

Computed X-ray diffraction stick pattern
Compound: CoCu3Ni
Radiation: Cu Kα (λ = 1.5418 Å)
Structure: a DFT-relaxed cell (GGA-PBE, Alexandria)
Lines closer than 0.1° are merged.

Cell and atoms:
abc: 4.3235 4.3235 4.3235
angles: 90.00 90.00 90.00
Space group Pm-3m (No. 221)
Asymmetric unit:
Co 0.0000 0.0000 0.0000
Cu 0.0000 0.5000 0.5000
Ni 0.5000 0.5000 0.5000

Principal peaks in the range 2θ from 5° to 70°, by angle:
two_theta  Rel. int.  (hkl)
20.54  29.9  1 0 0
29.21  16.5  1 1 0
35.98  76.8  1 1 1
41.79  100.0  2 0 0
47.00  13.1  2 1 0
51.80  6.1  2 1 1
60.57  61.4  2 2 0
64.68  5.9  3 0 0
68.65  2.4  3 1 0

---

Computed X-ray diffraction stick pattern
Compound: Co2Cu3Ni6
Radiation: Cu Kα (λ = 1.5418 Å)
Structure: a DFT-relaxed cell (GGA-PBE, Alexandria)
Lines closer than 0.1° are merged.

Cell and atoms:
abc: 2.5016 2.5016 67.7567
angles: 90.00 90.00 120.00
Space group R-3m (No. 166, hexagonal axes)
Asymmetric unit:
Co 0.0000 0.0000 0.0449
Cu 0.0000 0.0000 0.2278
Cu 0.0000 0.0000 0.5000
Ni 0.0000 0.0000 0.1361
Ni 0.0000 0.0000 0.3182
Ni 0.0000 0.0000 0.4079

Principal peaks in the range 2θ from 5° to 70°, by angle:
two_theta  Rel. int.  (hkl)
44.11  33.4  0 0 33
44.32  100.0  0 1 11
51.58  61.8  1 0 22

---

Computed X-ray diffraction stick pattern
Compound: CoCuNi3
Radiation: Cu Kα (λ = 1.5418 Å)
Structure: a DFT-relaxed cell (GGA-PBE, Alexandria)
Lines closer than 0.1° are merged.

Cell and atoms:
abc: 2.4967 2.4967 30.7429
angles: 90.00 90.00 120.00
Space group R3m (No. 160, hexagonal axes)
Asymmetric unit:
Co 0.0000 0.0000 0.0000
Cu 0.0000 0.0000 0.8006
Ni 0.0000 0.0000 0.2017
Ni 0.0000 0.0000 0.3989
Ni 0.0000 0.0000 0.6013

Principal peaks in the range 2θ from 5° to 70°, by angle:
two_theta  Rel. int.  (hkl)
44.19  33.6  0 0 15
44.41  100.0  0 1 5
51.68  61.9  1 0 10

---

Computed X-ray diffraction stick pattern
Compound: Co3CuNi2S8
Radiation: Cu Kα (λ = 1.5418 Å)
Structure: a DFT-relaxed cell (GGA-PBE, Alexandria)
Lines closer than 0.1° are merged.

Cell and atoms:
abc: 6.6568 6.6568 16.4093
angles: 90.00 90.00 120.00
Space group R3m (No. 160, hexagonal axes)
Asymmetric unit:
Co 0.0000 0.5000 0.0000
Cu 0.0000 0.0000 0.1258
Ni 0.0000 0.0000 0.5006
Ni 0.0000 0.0000 0.8746
S 0.0000 0.0000 0.2627
S 0.0000 0.0000 0.7396
S 0.0237 0.5118 0.2547
S 0.1826 0.3651 0.0779

Principal peaks in the range 2θ from 5° to 70°, by angle:
two_theta  Rel. int.  (hkl)
16.27  19.0  0 0 3
26.67  21.2  1 0 4
26.78  22.4  1 1 0
31.43  100.0  1 1 3
31.51  30.4  0 2 1
38.16  57.0  0 2 4
50.16  15.5  0 2 7
50.29  46.5  0 3 3
54.94  52.3  2 0 8
55.19  52.4  2 2 0

---

Computed X-ray diffraction stick pattern
Compound: Co4Cu3Ni2Se12
Radiation: Cu Kα (λ = 1.5418 Å)
Structure: a DFT-relaxed cell (GGA-PBE, Alexandria)
Lines closer than 0.1° are merged.

Cell and atoms:
abc: 12.3289 7.1065 17.4759
angles: 90.00 90.19 90.00
Space group C2/m (No. 12)
Asymmetric unit:
Co 0.0835 0.2497 0.1664
Co 0.1667 0.0000 0.8337
Co 0.2500 0.2500 0.5000
Cu 0.0000 0.0000 0.3740
Cu 0.1656 0.5000 0.7077
Cu 0.1669 0.5000 0.9590
Ni 0.0000 0.0000 0.0000
Ni 0.0000 0.5000 0.5000
Ni 0.1677 0.5000 0.3327
Se 0.0001 0.0000 0.2364
Se 0.0171 0.5000 0.2437
Se 0.0752 0.2253 0.9110
Se 0.0932 0.2729 0.4211
Se 0.1504 0.0000 0.0891
Se 0.1665 0.5000 0.0964
Se 0.1689 0.5000 0.5699
Se 0.1824 0.0000 0.5776
Se 0.2423 0.2745 0.2440

Principal peaks in the range 2θ from 5° to 70°, by angle:
two_theta  Rel. int.  (hkl)
15.24  30.6  0 0 3
29.38  26.6  3 1 -3
29.45  36.4  3 1 3
30.71  29.7  4 0 -2
30.81  31.0  2 2 2
35.65  81.4  2 2 -4
35.71  40.7  4 0 4
46.92  43.4  4 0 7
51.35  100.0  6 2 0
51.43  25.3  0 4 0

---

Computed X-ray diffraction stick pattern
Compound: Sm2Co3CuNi12
Radiation: Cu Kα (λ = 1.5418 Å)
Structure: a DFT-relaxed cell (GGA-PBE, Alexandria)
Lines closer than 0.1° are merged.

Cell and atoms:
abc: 8.3219 8.3219 11.9091
angles: 90.00 90.00 120.00
Space group R-3m (No. 166, hexagonal axes)
Asymmetric unit:
Sm 0.0000 0.0000 0.2334
Co 0.0000 0.5000 0.0000
Cu 0.0000 0.0000 0.5000
Ni 0.0189 0.5095 0.2085
Ni 0.0496 0.5248 0.6016

Principal peaks in the range 2θ from 5° to 70°, by angle:
two_theta  Rel. int.  (hkl)
28.96  14.5  2 0 2
31.14  9.9  1 1 3
32.54  14.5  1 0 4
36.27  33.0  1 2 2
39.25  16.7  0 2 4
43.50  100.0  2 2 0
44.06  14.1  0 3 3
45.11  14.4  2 1 4
45.66  59.1  2 0 5
64.90  16.4  0 4 5